# 1
Computed X-ray diffraction stick pattern of Cs3Mo2I9 for Cu Kα, 1.54184 Å, from a cell relaxed with GGA-PBE.

Most intense lines, 10 to 90 degrees two-theta, low angle first:
12.9°, I 38; 26.0°, I 100; 27.8°, I 94; 30.1°, I 67; 43.1°, I 70; 51.0°, I 54

Structure:
Cell lengths 8.3966, 8.3966, 20.5396 Å; angles 90.00, 90.00, 120.00 degrees
Atoms (fractional coordinates):
Cs: 0.0000 0.0000 0.2500
Cs: 0.0000 0.0000 0.7500
Cs: 0.3333 0.6667 0.0623
Cs: 0.3333 0.6667 0.4377
Cs: 0.6667 0.3333 0.5623
Cs: 0.6667 0.3333 0.9377
Mo: 0.3333 0.6667 0.6778
Mo: 0.3333 0.6667 0.8222
Mo: 0.6667 0.3333 0.1778
Mo: 0.6667 0.3333 0.3222
I: 0.0073 0.5036 0.7500
I: 0.1770 0.3539 0.5967
I: 0.1770 0.3539 0.9033
I: 0.1770 0.8230 0.5967
I: 0.1770 0.8230 0.9033
I: 0.3539 0.1770 0.0967
I: 0.3539 0.1770 0.4033
I: 0.4964 0.5036 0.7500
I: 0.4964 0.9927 0.7500
I: 0.5036 0.0073 0.2500
I: 0.5036 0.4964 0.2500
I: 0.6461 0.8230 0.5967
I: 0.6461 0.8230 0.9033
I: 0.8230 0.1770 0.0967
I: 0.8230 0.1770 0.4033
I: 0.8230 0.6461 0.0967
I: 0.8230 0.6461 0.4033
I: 0.9927 0.4964 0.2500

---

# 2
Computed X-ray diffraction stick pattern of Zn2Ni5Ir for Cu Kα, 1.54184 Å, from a cell relaxed with GGA-PBE.

Most intense lines, 10 to 90 degrees two-theta, low angle first:
43.1°, I 100; 49.6°, I 16; 49.9°, I 16; 51.1°, I 16; 73.9°, I 10; 88.4°, I 12

Structure:
Cell lengths 5.1824, 5.1890, 7.6100 Å; angles 70.08, 89.89, 89.67 degrees
Atoms (fractional coordinates):
Zn: 0.2366 0.2608 0.0038
Zn: 0.2455 0.9980 0.4981
Zn: 0.7545 0.0020 0.5019
Zn: 0.7634 0.7392 0.9962
Ni: 0.0002 0.1281 0.7494
Ni: 0.9998 0.8719 0.2506
Ni: 0.0019 0.6204 0.7466
Ni: 0.2491 0.4974 0.4994
Ni: 0.2501 0.7513 0.9972
Ni: 0.5000 0.3730 0.2490
Ni: 0.5000 0.6270 0.7510
Ni: 0.7499 0.2487 0.0028
Ni: 0.7509 0.5026 0.5006
Ni: 0.9981 0.3796 0.2534
Ir: 0.4962 0.1341 0.7519
Ir: 0.5038 0.8659 0.2481

---

# 3
Computed X-ray diffraction stick pattern of Sm4Y9Hg11 for Cu Kα, 1.54184 Å, from a cell relaxed with GGA-PBE.

Most intense lines, 10 to 90 degrees two-theta, low angle first:
32.8°, I 84; 33.7°, I 100; 34.5°, I 48; 34.6°, I 91; 59.6°, I 34; 62.0°, I 58

Structure:
Cell lengths 13.7720, 13.7720, 3.5837 Å; angles 90.00, 90.00, 109.39 degrees
Atoms (fractional coordinates):
Sm: 0.0772 0.2476 0.0000
Sm: 0.2476 0.0772 0.0000
Sm: 0.7524 0.9228 0.0000
Sm: 0.9228 0.7524 0.0000
Y: 0.0000 0.0000 0.0000
Y: 0.1191 0.6486 0.0000
Y: 0.2957 0.4790 0.0000
Y: 0.3514 0.8809 0.0000
Y: 0.4790 0.2957 0.0000
Y: 0.5210 0.7043 0.0000
Y: 0.6486 0.1191 0.0000
Y: 0.7043 0.5210 0.0000
Y: 0.8809 0.3514 0.0000
Hg: 0.0894 0.4477 0.5000
Hg: 0.1311 0.8689 0.5000
Hg: 0.2838 0.2838 0.5000
Hg: 0.3201 0.6799 0.5000
Hg: 0.4477 0.0894 0.5000
Hg: 0.5000 0.5000 0.5000
Hg: 0.5523 0.9106 0.5000
Hg: 0.6799 0.3201 0.5000
Hg: 0.7162 0.7162 0.5000
Hg: 0.8689 0.1311 0.5000
Hg: 0.9106 0.5523 0.5000

---

# 4
Computed X-ray diffraction stick pattern of SrGe4Pt12 for Cu Kα, 1.54184 Å, from a cell relaxed with GGA-PBE.

Most intense lines, 10 to 90 degrees two-theta, low angle first:
32.9°, I 100; 39.1°, I 33; 47.2°, I 16; 52.0°, I 14; 54.3°, I 30; 74.8°, I 17

Structure:
Cell lengths 7.4591, 7.4591, 7.4591 Å; angles 109.47, 109.47, 109.47 degrees
Atoms (fractional coordinates):
Sr: 0.0000 0.0000 0.0000
Ge: 0.0000 0.0000 0.5000
Ge: 0.0000 0.5000 0.0000
Ge: 0.5000 0.0000 0.0000
Ge: 0.5000 0.5000 0.5000
Pt: 0.1578 0.3473 0.5051
Pt: 0.1578 0.6527 0.8105
Pt: 0.1895 0.8422 0.3473
Pt: 0.3473 0.1895 0.8422
Pt: 0.3473 0.5051 0.1578
Pt: 0.4949 0.8422 0.6527
Pt: 0.5051 0.1578 0.3473
Pt: 0.6527 0.4949 0.8422
Pt: 0.6527 0.8105 0.1578
Pt: 0.8105 0.1578 0.6527
Pt: 0.8422 0.3473 0.1895
Pt: 0.8422 0.6527 0.4949

---

# 5
Computed X-ray diffraction stick pattern of Ac3Sn3Pt2 for Cu Kα, 1.54184 Å, from a cell relaxed with GGA-PBE.

Most intense lines, 10 to 90 degrees two-theta, low angle first:
29.7°, I 100; 30.1°, I 50; 34.0°, I 30; 35.0°, I 29; 37.1°, I 53; 37.4°, I 44

Structure:
Cell lengths 6.2892, 6.2892, 16.3238 Å; angles 90.00, 90.00, 135.08 degrees
Atoms (fractional coordinates):
Ac: 0.0891 0.9109 0.6086
Ac: 0.0891 0.9109 0.8914
Ac: 0.3696 0.6304 0.7500
Ac: 0.6304 0.3696 0.2500
Ac: 0.9109 0.0891 0.1086
Ac: 0.9109 0.0891 0.3914
Sn: 0.3325 0.6675 0.2500
Sn: 0.3711 0.6289 0.5344
Sn: 0.3711 0.6289 0.9656
Sn: 0.6289 0.3711 0.0344
Sn: 0.6289 0.3711 0.4656
Sn: 0.6675 0.3325 0.7500
Pt: 0.1926 0.8074 0.1071
Pt: 0.1926 0.8074 0.3929
Pt: 0.8074 0.1926 0.6071
Pt: 0.8074 0.1926 0.8929

---

# 6
Computed X-ray diffraction stick pattern of IrSO for Cu Kα, 1.54184 Å, from a cell relaxed with GGA-PBE.

Most intense lines, 10 to 90 degrees two-theta, low angle first:
15.3°, I 58; 19.5°, I 61; 25.3°, I 85; 33.8°, I 66; 35.4°, I 100; 52.5°, I 32

Structure:
Cell lengths 6.0269, 6.0269, 4.5618 Å; angles 91.94, 91.94, 32.49 degrees
Atoms (fractional coordinates):
Ir: 0.0000 0.0000 0.0000
Ir: 0.6636 0.6636 0.7247
S: 0.2834 0.2834 0.6267
S: 0.6045 0.6045 0.1987
O: 0.3229 0.3229 0.3223
O: 0.4002 0.4002 0.8218

---

# 7
Computed X-ray diffraction stick pattern of Pm7Pr2 for Cu Kα, 1.54184 Å, from a cell relaxed with GGA-PBE.

Most intense lines, 10 to 90 degrees two-theta, low angle first:
29.8°, I 100; 30.0°, I 33; 34.6°, I 67; 49.7°, I 24; 49.8°, I 24; 59.1°, I 43

Structure:
Cell lengths 6.3539, 6.3539, 8.9497 Å; angles 90.00, 90.00, 120.00 degrees
Atoms (fractional coordinates):
Pm: 0.0000 0.0000 0.0000
Pm: 0.0000 0.3328 0.6654
Pm: 0.0000 0.6672 0.3346
Pm: 0.3328 0.0000 0.6654
Pm: 0.3328 0.3328 0.3346
Pm: 0.6672 0.0000 0.3346
Pm: 0.6672 0.6672 0.6654
Pr: 0.3333 0.6667 0.0000
Pr: 0.6667 0.3333 0.0000

---

# 8
Computed X-ray diffraction stick pattern of ThAlPd3 for Cu Kα, 1.54184 Å, from a cell relaxed with GGA-PBE.

Most intense lines, 10 to 90 degrees two-theta, low angle first:
20.1°, I 36; 30.7°, I 100; 31.8°, I 33; 35.2°, I 61; 40.9°, I 43; 44.7°, I 37

Structure:
Cell lengths 5.6353, 7.1136, 5.0963 Å; angles 90.00, 90.00, 90.00 degrees
Atoms (fractional coordinates):
Th: 0.0000 0.0000 0.0000
Th: 0.5000 0.5000 0.0000
Al: 0.0000 0.5000 0.5000
Al: 0.5000 0.0000 0.5000
Pd: 0.0000 0.5000 0.0000
Pd: 0.1210 0.1754 0.5000
Pd: 0.3790 0.6754 0.5000
Pd: 0.5000 0.0000 0.0000
Pd: 0.6210 0.3246 0.5000
Pd: 0.8790 0.8246 0.5000

---

# 9
Computed X-ray diffraction stick pattern of K3TbI6 for Cu Kα, 1.54184 Å, from a cell relaxed with GGA-PBE.

Most intense lines, 10 to 90 degrees two-theta, low angle first:
12.2°, I 56; 14.4°, I 48; 23.3°, I 49; 23.5°, I 54; 24.5°, I 100; 32.4°, I 64

Structure:
Cell lengths 8.4162, 9.0565, 14.7206 Å; angles 90.00, 124.03, 90.00 degrees
Atoms (fractional coordinates):
K: 0.0000 0.0000 0.0000
K: 0.0000 0.5000 0.5000
K: 0.2076 0.0900 0.7450
K: 0.2076 0.4100 0.2450
K: 0.7924 0.5900 0.7550
K: 0.7924 0.9100 0.2550
Tb: 0.5000 0.0000 0.5000
Tb: 0.5000 0.5000 0.0000
I: 0.1438 0.1763 0.4376
I: 0.1438 0.3237 0.9376
I: 0.2624 0.7148 0.4246
I: 0.2624 0.7852 0.9246
I: 0.4084 0.0511 0.2699
I: 0.4084 0.4489 0.7699
I: 0.5916 0.5511 0.2301
I: 0.5916 0.9489 0.7301
I: 0.7376 0.2148 0.0754
I: 0.7376 0.2852 0.5754
I: 0.8562 0.6763 0.0624
I: 0.8562 0.8237 0.5624